1.
Diffraction record for LiCr2O4. The X-ray diffraction stick pattern is computed, not measured: it uses a DFT-relaxed cell (PBE+U, the Materials Project) and Cu Ka.
Neutral-atom scattering factors, no anomalous dispersion.

Top 12 peaks for 2θ = 5–70°, sorted by position:
d [Å], 2θ/deg, I (rel.)
4.983, 17.80, 30
3.969, 22.40, 100
3.201, 27.87, 83
2.523, 35.58, 61
2.445, 36.75, 19
2.355, 38.21, 38
1.897, 47.96, 19
1.876, 48.52, 25
1.685, 54.46, 40
1.642, 55.99, 23
1.462, 63.65, 28
1.445, 64.51, 21

Atomic structure:
```
7
Lattice="2.926 0.000 0.000 0.000 3.201 3.969 0.000 -3.201 3.969" Properties=species:S:1:pos:R:3 pbc="T T T"
Li 0.000 0.000 0.000
Cr 0.000 0.000 5.445
Cr 1.463 0.000 2.241
O 0.000 -1.186 1.640
O 0.000 1.186 1.640
O 1.463 0.000 4.075
O 1.463 0.000 6.740
```

=====

2.
Diffraction record for NbV3O8. The X-ray diffraction stick pattern is computed, not measured: it uses a DFT-relaxed cell (PBE+U, the Materials Project) and Cu Ka.
Neutral-atom scattering factors, no anomalous dispersion.

Top 12 peaks for 2θ = 5–70°, sorted by position:
d [Å], 2θ/deg, I (rel.)
4.666, 19.02, 29
4.608, 19.26, 60
4.522, 19.63, 100
3.464, 25.72, 29
2.665, 33.63, 37
2.545, 35.26, 62
2.500, 35.93, 23
2.491, 36.06, 28
2.261, 39.88, 22
1.988, 45.64, 28
1.517, 61.09, 27
1.513, 61.26, 28

Atomic structure:
```
24
Lattice="2.960 -5.299 0.000 2.960 5.299 0.000 0.000 0.000 9.332" Properties=species:S:1:pos:R:3 pbc="T T T"
Nb 2.960 3.486 4.666
Nb 2.960 -3.486 0.000
V 1.451 0.881 6.718
V 1.451 -0.881 2.052
V 2.960 1.795 1.951
V 2.960 -1.795 6.617
V 4.469 0.881 6.718
V 4.469 -0.881 2.052
O 1.657 2.838 3.137
O 2.960 5.065 3.157
O 2.960 3.679 1.006
O 1.446 0.896 0.951
O 1.446 -0.896 5.617
O 2.960 1.801 5.600
O 4.264 2.838 3.137
O 2.960 0.087 7.510
O 2.960 -0.087 2.844
O 1.657 -2.838 7.803
O 2.960 -1.801 0.934
O 4.474 0.896 0.951
O 4.474 -0.896 5.617
O 2.960 -3.679 5.671
O 2.960 -5.065 7.823
O 4.264 -2.838 7.803
```

=====

3.
Diffraction record for LaMgVCrO6. The X-ray diffraction stick pattern is computed, not measured: it uses a DFT-relaxed cell (PBE+U, the Materials Project) and Cu Ka.
Neutral-atom scattering factors, no anomalous dispersion.

Top 12 peaks for 2θ = 5–70°, sorted by position:
d [Å], 2θ/deg, I (rel.)
4.472, 19.85, 71
4.411, 20.13, 35
4.372, 20.31, 34
2.739, 32.69, 45
2.729, 32.82, 100
2.710, 33.06, 98
2.666, 33.61, 41
2.333, 38.59, 24
1.935, 46.95, 32
1.911, 47.59, 55
1.580, 58.41, 38
1.575, 58.62, 27

Atomic structure:
```
20
Lattice="5.333 0.000 0.000 0.000 5.478 0.000 -5.258 0.000 7.741" Properties=species:S:1:pos:R:3 pbc="T T T"
La 0.000 1.166 0.000
La -2.629 4.313 3.870
Mg 0.163 1.658 3.866
Mg -2.466 3.820 7.736
V 2.726 1.393 1.950
V 0.096 4.086 5.820
Cr -2.572 1.372 5.814
Cr 0.058 4.106 1.944
O -1.926 1.233 3.876
O 0.703 4.245 0.006
O 2.276 1.640 0.042
O -0.354 3.838 3.912
O 1.129 0.332 2.375
O -1.501 5.146 6.245
O -1.087 2.593 6.274
O 1.542 2.885 2.404
O 1.080 0.294 5.357
O 3.709 5.184 1.487
O 4.164 2.546 1.612
O 1.534 2.933 5.482
```